The following is a theoretical powder diffraction line list of CaCr2Co. It was derived from a crystal structure in Alexandria, relaxed with PBE, using copper Kα.

Top 10 peaks for 10° ≤ 2θ ≤ 90°, by angle:
2θ/deg, d/Å, I_rel
21.3, 4.175, 21.7
33.3, 2.693, 9.9
36.0, 2.492, 29.1
39.2, 2.299, 41.8
44.1, 2.052, 100.0
44.4, 2.039, 12.1
49.8, 1.829, 13.6
54.3, 1.690, 16.2
60.7, 1.525, 8.7
74.5, 1.274, 18.0

Structure:
```
data_CaCr2Co
_cell_length_a 5.639
_cell_length_b 5.639
_cell_length_c 5.639
_cell_angle_alpha 153.53
_cell_angle_beta 131.89
_cell_angle_gamma 55.75
_space_group_name_H-M_alt 'P 1'
_space_group_IT_number 1
loop_
_space_group_symop_operation_xyz
'x,y,z'
loop_
_atom_site_label
_atom_site_type_symbol
_atom_site_fract_x
_atom_site_fract_y
_atom_site_fract_z
Ca1 Ca 0.000 0.000 0.000
Cr1 Cr 0.292 0.792 0.500
Cr2 Cr 0.708 0.208 0.500
Co1 Co 0.500 0.500 0.000
```

The following is a theoretical powder diffraction line list of Na2PtBr. It was derived from a crystal structure in Alexandria, relaxed with PBE, using copper Kα.

Top 10 peaks for 10° ≤ 2θ ≤ 90°, by angle:
2θ/deg, d/Å, I_rel
19.0, 4.663, 32.9
22.4, 3.974, 100.0
29.5, 3.025, 23.5
31.8, 2.810, 85.9
35.0, 2.562, 98.6
45.7, 1.987, 31.4
48.1, 1.893, 80.8
51.4, 1.777, 22.0
58.8, 1.570, 22.1
68.4, 1.371, 28.1

Structure:
```
data_Na2PtBr
_cell_length_a 6.315
_cell_length_b 6.315
_cell_length_c 6.315
_cell_angle_alpha 102.00
_cell_angle_beta 102.00
_cell_angle_gamma 125.75
_space_group_name_H-M_alt 'P 1'
_space_group_IT_number 1
loop_
_space_group_symop_operation_xyz
'x,y,z'
loop_
_atom_site_label
_atom_site_type_symbol
_atom_site_fract_x
_atom_site_fract_y
_atom_site_fract_z
Na1 Na 0.124 0.625 0.999
Na2 Na 0.375 0.374 0.499
Na3 Na 0.626 0.125 0.001
Na4 Na 0.875 0.876 0.501
Pt1 Pt 0.250 0.750 0.500
Pt2 Pt 0.500 0.500 0.000
Br1 Br 0.000 0.000 0.000
Br2 Br 0.750 0.250 0.500
```

The following is a theoretical powder diffraction line list of Li4CaGe. It was derived from a crystal structure in Alexandria, relaxed with PBE, using copper Kα.

Top 10 peaks for 10° ≤ 2θ ≤ 90°, by angle:
2θ/deg, d/Å, I_rel
16.6, 5.347, 54.7
18.9, 4.703, 14.6
25.0, 3.564, 22.0
26.2, 3.406, 41.7
28.7, 3.106, 100.0
34.2, 2.618, 14.3
38.3, 2.351, 20.0
39.3, 2.294, 15.9
39.4, 2.287, 41.8
42.9, 2.109, 26.0

Structure:
```
data_Li4CaGe
_cell_length_a 10.936
_cell_length_b 10.936
_cell_length_c 5.236
_cell_angle_alpha 90.00
_cell_angle_beta 90.00
_cell_angle_gamma 155.79
_space_group_name_H-M_alt 'P 1'
_space_group_IT_number 1
loop_
_space_group_symop_operation_xyz
'x,y,z'
loop_
_atom_site_label
_atom_site_type_symbol
_atom_site_fract_x
_atom_site_fract_y
_atom_site_fract_z
Li1 Li 0.000 0.000 0.000
Li2 Li 0.000 0.000 0.500
Li3 Li 0.208 0.792 0.504
Li4 Li 0.208 0.792 0.996
Li5 Li 0.336 0.664 0.250
Li6 Li 0.664 0.336 0.750
Li7 Li 0.792 0.208 0.004
Li8 Li 0.792 0.208 0.496
Ca1 Ca 0.406 0.594 0.750
Ca2 Ca 0.594 0.406 0.250
Ge1 Ge 0.101 0.899 0.750
Ge2 Ge 0.899 0.101 0.250
```

The following is a theoretical powder diffraction line list of Na2Mg. It was derived from a crystal structure in Alexandria, relaxed with PBE, using copper Kα.

Top 10 peaks for 10° ≤ 2θ ≤ 90°, by angle:
2θ/deg, d/Å, I_rel
31.8, 2.812, 65.7
32.7, 2.742, 100.0
34.8, 2.581, 26.1
43.9, 2.063, 15.1
48.5, 1.878, 19.8
57.2, 1.611, 13.0
57.3, 1.608, 10.5
60.5, 1.531, 9.2
61.0, 1.520, 10.0
64.5, 1.445, 14.8

Structure:
```
data_Na2Mg
_cell_length_a 12.136
_cell_length_b 12.136
_cell_length_c 12.136
_cell_angle_alpha 164.04
_cell_angle_beta 155.44
_cell_angle_gamma 29.43
_space_group_name_H-M_alt 'P 1'
_space_group_IT_number 1
loop_
_space_group_symop_operation_xyz
'x,y,z'
loop_
_atom_site_label
_atom_site_type_symbol
_atom_site_fract_x
_atom_site_fract_y
_atom_site_fract_z
Na1 Na 0.290 0.040 0.250
Na2 Na 0.432 0.182 0.250
Na3 Na 0.568 0.818 0.750
Na4 Na 0.710 0.960 0.750
Mg1 Mg 0.143 0.393 0.750
Mg2 Mg 0.857 0.607 0.250
```

Repeat the fourth record exactly.
The following is a theoretical powder diffraction line list of Na2Mg. It was derived from a crystal structure in Alexandria, relaxed with PBE, using copper Kα.

Top 10 peaks for 10° ≤ 2θ ≤ 90°, by angle:
2θ/deg, d/Å, I_rel
31.8, 2.812, 65.7
32.7, 2.742, 100.0
34.8, 2.581, 26.1
43.9, 2.063, 15.1
48.5, 1.878, 19.8
57.2, 1.611, 13.0
57.3, 1.608, 10.5
60.5, 1.531, 9.2
61.0, 1.520, 10.0
64.5, 1.445, 14.8

Structure:
```
data_Na2Mg
_cell_length_a 12.136
_cell_length_b 12.136
_cell_length_c 12.136
_cell_angle_alpha 164.04
_cell_angle_beta 155.44
_cell_angle_gamma 29.43
_space_group_name_H-M_alt 'P 1'
_space_group_IT_number 1
loop_
_space_group_symop_operation_xyz
'x,y,z'
loop_
_atom_site_label
_atom_site_type_symbol
_atom_site_fract_x
_atom_site_fract_y
_atom_site_fract_z
Na1 Na 0.290 0.040 0.250
Na2 Na 0.432 0.182 0.250
Na3 Na 0.568 0.818 0.750
Na4 Na 0.710 0.960 0.750
Mg1 Mg 0.143 0.393 0.750
Mg2 Mg 0.857 0.607 0.250
```